(1)
Diffraction record for Li7CuSi2. The XRD peak list is simulated, not measured: it uses the GGA-PBE geometry in the Materials Project and a wavelength of 1.5418 Å.

Crystal structure
```
Li7CuSi2
1.0
7.9031 0.0000 0.0000
0.0000 4.3914 0.0000
0.0000 0.0000 17.1572
Li Cu Si
28 4 8
Direct
0.0238 0.2500 0.1213
0.0303 0.7500 0.3180
0.0535 0.7500 0.4669
0.1106 0.2500 0.9568
0.1380 0.7500 0.6204
0.1448 0.2500 0.8106
0.1908 0.2500 0.2568
0.3092 0.7500 0.7568
0.3552 0.7500 0.3106
0.3620 0.2500 0.1204
0.3894 0.7500 0.4568
0.4465 0.2500 0.9669
0.4697 0.2500 0.8180
0.4762 0.7500 0.6213
0.5238 0.2500 0.3787
0.5303 0.7500 0.1820
0.5535 0.7500 0.0331
0.6106 0.2500 0.5432
0.6380 0.7500 0.8796
0.6448 0.2500 0.6894
0.6908 0.2500 0.2432
0.8092 0.7500 0.7432
0.8552 0.7500 0.1894
0.8620 0.2500 0.3796
0.8894 0.7500 0.0432
0.9465 0.2500 0.5331
0.9697 0.2500 0.6820
0.9762 0.7500 0.8787
0.2251 0.7500 0.0377
0.2749 0.2500 0.5377
0.7251 0.7500 0.4623
0.7749 0.2500 0.9623
0.1879 0.7500 0.1712
0.1971 0.2500 0.4069
0.3029 0.7500 0.9069
0.3121 0.2500 0.6712
0.6879 0.7500 0.3288
0.6971 0.2500 0.0931
0.8029 0.7500 0.5931
0.8121 0.2500 0.8288
```

Peak list (6 most intense, 10 to 90 degrees two-theta, sorted by position)
| 2theta | I/Imax |
| --- | --- |
| 10.3 | 53.7 |
| 22.5 | 34.3 |
| 23.8 | 100.0 |
| 40.3 | 25.5 |
| 41.1 | 17.4 |
| 42.2 | 29.4 |



(2)
Diffraction record for Li2CuSn2. The XRD peak list is simulated, not measured: it uses the GGA-PBE geometry in the Materials Project and a wavelength of 1.5418 Å.

Crystal structure
```
Li2CuSn2
1.0
-2.2101 2.2101 9.7560
2.2101 -2.2101 9.7560
2.2101 2.2101 -9.7560
Li Cu Sn
4 2 4
Direct
0.0489 0.2989 0.7500
0.2989 0.0489 0.2500
0.7011 0.9511 0.7500
0.9511 0.7011 0.2500
0.1250 0.8750 0.2500
0.8750 0.1250 0.7500
0.1984 0.4484 0.7500
0.4484 0.1984 0.2500
0.5516 0.8016 0.7500
0.8016 0.5516 0.2500
```

Peak list (6 most intense, 10 to 90 degrees two-theta, sorted by position)
| 2theta | I/Imax |
| --- | --- |
| 24.3 | 100.0 |
| 40.0 | 58.0 |
| 40.8 | 30.6 |
| 46.7 | 14.1 |
| 48.1 | 32.6 |
| 73.8 | 19.5 |



(3)
Diffraction record for LiCu2Sn. The XRD peak list is simulated, not measured: it uses the GGA-PBE geometry in the Materials Project and a wavelength of 1.5418 Å.

Crystal structure
```
LiCu2Sn
1.0
4.2976 0.0000 0.0000
-2.1488 3.7218 0.0000
0.0000 0.0000 7.6533
Li Cu Sn
2 4 2
Direct
0.0000 0.0000 0.0000
0.0000 0.0000 0.5000
0.3333 0.6667 0.0888
0.3333 0.6667 0.4112
0.6667 0.3333 0.5888
0.6667 0.3333 0.9112
0.3333 0.6667 0.7500
0.6667 0.3333 0.2500
```

Peak list (6 most intense, 10 to 90 degrees two-theta, sorted by position)
| 2theta | I/Imax |
| --- | --- |
| 23.9 | 73.0 |
| 42.0 | 74.3 |
| 43.0 | 100.0 |
| 61.7 | 33.3 |
| 77.5 | 34.0 |
| 89.3 | 15.5 |



(4)
Diffraction record for Li2CuSn. The XRD peak list is simulated, not measured: it uses the GGA-PBE geometry in the Materials Project and a wavelength of 1.5418 Å.

Crystal structure
```
Li2CuSn
1.0
6.2913 0.0000 0.0000
0.0000 6.2913 0.0000
0.0000 0.0000 6.2913
Li Cu Sn
8 4 4
Direct
0.0000 0.0000 0.0000
0.0000 0.5000 0.5000
0.2500 0.2500 0.2500
0.2500 0.7500 0.7500
0.5000 0.0000 0.5000
0.5000 0.5000 0.0000
0.7500 0.2500 0.7500
0.7500 0.7500 0.2500
0.0000 0.0000 0.5000
0.0000 0.5000 0.0000
0.5000 0.0000 0.0000
0.5000 0.5000 0.5000
0.2500 0.2500 0.7500
0.2500 0.7500 0.2500
0.7500 0.2500 0.2500
0.7500 0.7500 0.7500
```

Peak list (6 most intense, 10 to 90 degrees two-theta, sorted by position)
| 2theta | I/Imax |
| --- | --- |
| 24.5 | 100.0 |
| 40.6 | 92.5 |
| 48.0 | 50.2 |
| 64.6 | 20.8 |
| 73.8 | 31.5 |
| 79.1 | 16.0 |